[1]
# Li7Mn4CoO12
Calculated PXRD pattern, Cu Ka. Input: the GGA+U geometry in the Materials Project.
Neutral-atom scattering factors, no anomalous dispersion.

Structure:
Lattice parameters (Å, degrees): 5.0151 5.0265 9.8989 86.48 78.62 62.23
Fractional positions:
Li  0.0000  0.0000  0.0000
Li  0.0845  0.3267  0.7512
Li  0.2501  0.9978  0.2487
Li  0.4134  0.6724  0.7563
Li  0.5866  0.3276  0.2437
Li  0.7499  0.0022  0.7513
Li  0.9155  0.6733  0.2488
Mn  0.1673  0.6671  0.5004
Mn  0.3320  0.3323  0.9999
Mn  0.6680  0.6677  0.0001
Mn  0.8327  0.3329  0.4996
Co  0.5000  0.0000  0.5000
O  0.0503  0.6307  0.8900
O  0.1590  0.9787  0.6186
O  0.1869  0.3493  0.3844
O  0.3174  0.6436  0.1128
O  0.4056  0.9875  0.8910
O  0.4874  0.3059  0.6165
O  0.5126  0.6941  0.3835
O  0.5944  0.0125  0.1090
O  0.6826  0.3564  0.8872
O  0.8131  0.6507  0.6156
O  0.8410  0.0213  0.3814
O  0.9497  0.3693  0.1100

Main lines, low angle first (2θ = 5–70°):
2θ (°)  d [Å]  intensity
9.12  9.698  15
18.30  4.849  100
34.89  2.572  19
36.41  2.468  12
36.57  2.457  11
41.88  2.157  33
44.15  2.051  28
44.48  2.037  27
62.26  1.491  8
62.59  1.484  8
62.71  1.482  8
65.12  1.432  9

=====

[2]
# Li4MnCo2O7
Calculated PXRD pattern, Cu Ka. Input: the GGA+U geometry in the Materials Project.
Neutral-atom scattering factors, no anomalous dispersion.

Structure:
Lattice parameters (Å, degrees): 5.1381 5.1381 17.8369 96.07 96.07 32.72
Fractional positions:
Li  0.0000  0.0000  0.0000
Li  0.0072  0.0072  0.5066
Li  0.1386  0.1386  0.2965
Li  0.2864  0.2864  0.5694
Li  0.4329  0.4329  0.8603
Li  0.5780  0.5780  0.1548
Li  0.7125  0.7125  0.4390
Li  0.8646  0.8646  0.7176
Mn  0.2893  0.2893  0.0775
Mn  0.5775  0.5775  0.6422
Co  0.1450  0.1450  0.7897
Co  0.4251  0.4251  0.3764
Co  0.7177  0.7177  0.9306
Co  0.8625  0.8625  0.2258
O  0.0571  0.0571  0.3951
O  0.0804  0.0804  0.8963
O  0.2038  0.2038  0.6817
O  0.2281  0.2281  0.1785
O  0.3525  0.3525  0.9773
O  0.3573  0.3573  0.4652
O  0.4958  0.4958  0.2525
O  0.5170  0.5170  0.7514
O  0.6436  0.6436  0.5508
O  0.6628  0.6628  0.0448
O  0.7800  0.7800  0.8247
O  0.8022  0.8022  0.3280
O  0.9140  0.9140  0.1099
O  0.9516  0.9516  0.6171

Main lines, low angle first (2θ = 5–70°):
2θ (°)  d [Å]  intensity
9.98  8.864  7
18.24  4.863  100
35.44  2.533  13
36.18  2.483  26
37.69  2.386  7
42.90  2.108  27
43.73  2.070  56
47.56  1.912  8
57.49  1.603  10
62.76  1.481  22
63.10  1.473  14
64.38  1.447  8

=====

[3]
# Li4MnCo2O7
Calculated PXRD pattern, Cu Ka. Input: the GGA+U geometry in the Materials Project.
Neutral-atom scattering factors, no anomalous dispersion.

Structure:
Lattice parameters (Å, degrees): 3.0181 9.7687 9.8141 116.39 92.73 97.03
Fractional positions:
Li  0.0000  0.0000  0.0000
Li  0.0654  0.1386  0.7836
Li  0.2136  0.4232  0.3535
Li  0.3611  0.7201  0.9274
Li  0.5000  0.0000  0.5000
Li  0.6389  0.2799  0.0726
Li  0.7864  0.5768  0.6465
Li  0.9346  0.8614  0.2164
Mn  0.1355  0.2842  0.5673
Mn  0.8645  0.7158  0.4327
Co  0.2922  0.5714  0.1425
Co  0.4229  0.8630  0.7276
Co  0.5771  0.1370  0.2724
Co  0.7078  0.4286  0.8575
O  0.0184  0.0821  0.3922
O  0.1366  0.2075  0.1855
O  0.1913  0.3688  0.9675
O  0.2214  0.4871  0.7467
O  0.3053  0.6610  0.5485
O  0.4280  0.7754  0.3187
O  0.4721  0.9476  0.1259
O  0.5279  0.0524  0.8741
O  0.5720  0.2246  0.6813
O  0.6947  0.3390  0.4515
O  0.7786  0.5129  0.2533
O  0.8087  0.6312  0.0325
O  0.8634  0.7925  0.8145
O  0.9816  0.9179  0.6078

Main lines, low angle first (2θ = 5–70°):
2θ (°)  d [Å]  intensity
18.32  4.843  100
34.47  2.602  19
35.91  2.501  13
36.78  2.443  11
37.09  2.424  8
41.45  2.178  34
43.62  2.075  29
44.90  2.019  25
61.52  1.507  9
61.96  1.498  8
62.63  1.483  8
64.95  1.436  9

=====

[4]
# Li7Mn4CoO12
Calculated PXRD pattern, Cu Ka. Input: the GGA+U geometry in the Materials Project.
Neutral-atom scattering factors, no anomalous dispersion.

Structure:
Lattice parameters (Å, degrees): 14.8318 14.8318 5.3059 98.44 98.44 11.09
Fractional positions:
Li  0.0000  0.0000  0.0000
Li  0.1733  0.1733  0.5184
Li  0.3277  0.3277  0.9789
Li  0.5009  0.5009  0.5008
Li  0.6703  0.6703  0.0135
Li  0.7501  0.7501  0.7481
Li  0.8294  0.8294  0.4826
Mn  0.2497  0.2497  0.2470
Mn  0.4160  0.4160  0.7439
Mn  0.5838  0.5838  0.2517
Mn  0.9168  0.9168  0.2440
Co  0.0843  0.0843  0.7527
O  0.0451  0.0451  0.3588
O  0.1209  0.1209  0.1401
O  0.2119  0.2119  0.9148
O  0.2874  0.2874  0.5775
O  0.3792  0.3792  0.3514
O  0.4561  0.4561  0.1409
O  0.5469  0.5469  0.8612
O  0.6202  0.6202  0.6350
O  0.7120  0.7120  0.3629
O  0.7874  0.7874  0.1322
O  0.8779  0.8779  0.8524
O  0.9559  0.9559  0.6445

Main lines, low angle first (2θ = 5–70°):
2θ (°)  d [Å]  intensity
6.05  14.601  33
12.12  7.301  8
18.23  4.867  100
34.17  2.624  18
36.26  2.478  23
41.43  2.179  34
43.97  2.059  56
47.27  1.923  9
57.81  1.595  10
61.65  1.504  17
62.35  1.489  17
62.74  1.481  8

=====

[5]
# Li4MnCo2O7
Calculated PXRD pattern, Cu Ka. Input: the GGA+U geometry in the Materials Project.
Neutral-atom scattering factors, no anomalous dispersion.

Structure:
Lattice parameters (Å, degrees): 5.1281 5.1281 17.9337 96.35 96.35 32.45
Fractional positions:
Li  0.0000  0.0000  0.0000
Li  0.0006  0.0006  0.5040
Li  0.1417  0.1417  0.2964
Li  0.2845  0.2845  0.5670
Li  0.4290  0.4290  0.8630
Li  0.5666  0.5666  0.1430
Li  0.7030  0.7030  0.4390
Li  0.8567  0.8567  0.7136
Mn  0.5766  0.5766  0.6403
Mn  0.8557  0.8557  0.2189
Co  0.1425  0.1425  0.7880
Co  0.2829  0.2829  0.0728
Co  0.4243  0.4243  0.3719
Co  0.7092  0.7092  0.9315
O  0.0588  0.0588  0.3931
O  0.0743  0.0743  0.8958
O  0.2039  0.2039  0.6777
O  0.2271  0.2271  0.1857
O  0.3462  0.3462  0.9676
O  0.3505  0.3505  0.4626
O  0.4817  0.4817  0.2491
O  0.5199  0.5199  0.7501
O  0.6377  0.6377  0.5480
O  0.6468  0.6468  0.0392
O  0.7689  0.7689  0.8218
O  0.7956  0.7956  0.3180
O  0.9164  0.9164  0.1179
O  0.9480  0.9480  0.6166

Main lines, low angle first (2θ = 5–70°):
2θ (°)  d [Å]  intensity
18.25  4.862  100
35.27  2.545  14
36.45  2.465  26
37.90  2.374  8
42.63  2.121  29
44.02  2.057  55
47.67  1.908  9
57.78  1.596  9
62.81  1.479  15
62.92  1.477  7
63.09  1.474  15
65.11  1.433  7

=====

[6]
# Li4MnCo2O7
Calculated PXRD pattern, Cu Ka. Input: the GGA+U geometry in the Materials Project.
Neutral-atom scattering factors, no anomalous dispersion.

Structure:
Lattice parameters (Å, degrees): 3.0214 9.7403 9.8209 116.45 93.97 96.24
Fractional positions:
Li  0.0000  0.0000  0.0000
Li  0.0624  0.1364  0.7837
Li  0.2179  0.4262  0.3558
Li  0.3601  0.7220  0.9297
Li  0.4992  0.9985  0.5009
Li  0.6396  0.2810  0.0738
Li  0.7869  0.5762  0.6457
Li  0.9355  0.8597  0.2169
Mn  0.1444  0.2835  0.5683
Mn  0.7132  0.4290  0.8609
Co  0.2815  0.5735  0.1469
Co  0.4313  0.8611  0.7266
Co  0.5757  0.1361  0.2721
Co  0.8597  0.7164  0.4310
O  0.0165  0.0810  0.3931
O  0.1283  0.2069  0.1863
O  0.1585  0.3696  0.9728
O  0.2756  0.4893  0.7468
O  0.3435  0.6614  0.5469
O  0.3641  0.7723  0.3216
O  0.4699  0.9472  0.1259
O  0.5288  0.0511  0.8736
O  0.5841  0.2236  0.6819
O  0.6958  0.3386  0.4529
O  0.7159  0.5132  0.2554
O  0.8525  0.6341  0.0384
O  0.8774  0.7925  0.8152
O  0.9871  0.9155  0.6058

Main lines, low angle first (2θ = 5–70°):
2θ (°)  d [Å]  intensity
10.15  8.716  7
18.34  4.837  100
34.15  2.625  20
36.25  2.478  12
36.89  2.436  10
40.96  2.203  35
44.10  2.054  28
45.05  2.012  25
61.54  1.507  9
61.96  1.498  8
62.51  1.486  16
64.21  1.450  7

=====

[7]
# Li4Mn3CoO8
Calculated PXRD pattern, Cu Ka. Input: the GGA+U geometry in the Materials Project.
Neutral-atom scattering factors, no anomalous dispersion.

Structure:
Lattice parameters (Å, degrees): 9.8962 9.8962 5.0363 92.01 92.01 17.89
Fractional positions:
Li  0.1239  0.1239  0.3733
Li  0.3749  0.3749  0.1255
Li  0.6251  0.6251  0.8745
Li  0.8761  0.8761  0.6267
Mn  0.0000  0.0000  0.0000
Mn  0.2502  0.2502  0.7497
Mn  0.7498  0.7498  0.2503
Co  0.5000  0.5000  0.5000
O  0.0562  0.0562  0.6920
O  0.1921  0.1921  0.0520
O  0.3079  0.3079  0.4469
O  0.4425  0.4425  0.8018
O  0.5575  0.5575  0.1982
O  0.6921  0.6921  0.5531
O  0.8079  0.8079  0.9480
O  0.9438  0.9438  0.3080

Main lines, low angle first (2θ = 5–70°):
2θ (°)  d [Å]  intensity
18.16  4.885  100
34.55  2.596  33
36.55  2.458  11
36.67  2.451  9
41.80  2.161  60
44.72  2.026  23
47.08  1.930  9
55.41  1.658  10
60.14  1.539  9
61.06  1.518  8
62.60  1.484  14
63.15  1.472  14

=====

[8]
# Li4MnCo2O7
Calculated PXRD pattern, Cu Ka. Input: the GGA+U geometry in the Materials Project.
Neutral-atom scattering factors, no anomalous dispersion.

Structure:
Lattice parameters (Å, degrees): 10.7841 10.7841 8.3274 102.00 102.00 15.52
Fractional positions:
Li  0.0000  0.0000  0.0000
Li  0.0050  0.0050  0.4976
Li  0.1416  0.1416  0.5707
Li  0.2944  0.2944  0.1384
Li  0.4336  0.4336  0.7016
Li  0.5681  0.5681  0.2977
Li  0.7197  0.7197  0.8536
Li  0.8667  0.8667  0.4280
Mn  0.5751  0.5751  0.7720
Mn  0.7172  0.7172  0.3586
Co  0.1457  0.1457  0.0684
Co  0.2921  0.2921  0.6534
Co  0.4378  0.4378  0.2366
Co  0.8650  0.8650  0.9397
O  0.0019  0.0019  0.2439
O  0.0141  0.0141  0.7565
O  0.1404  0.1404  0.8159
O  0.1548  0.1548  0.3290
O  0.2794  0.2794  0.3849
O  0.2907  0.2907  0.8858
O  0.4287  0.4287  0.9598
O  0.4300  0.4300  0.4499
O  0.5757  0.5757  0.5543
O  0.5846  0.5846  0.0227
O  0.7098  0.7098  0.1187
O  0.7249  0.7249  0.5931
O  0.8555  0.8555  0.6816
O  0.8622  0.8622  0.1642

Main lines, low angle first (2θ = 5–70°):
2θ (°)  d [Å]  intensity
8.46  10.448  10
18.15  4.887  100
35.89  2.502  13
36.04  2.492  25
37.69  2.387  8
43.43  2.084  81
47.59  1.911  8
56.99  1.616  10
62.20  1.492  7
62.74  1.481  14
63.49  1.465  13
63.93  1.456  7

=====

[9]
# Li3MnCoO5
Calculated PXRD pattern, Cu Ka. Input: the GGA+U geometry in the Materials Project.
Neutral-atom scattering factors, no anomalous dispersion.

Structure:
Lattice parameters (Å, degrees): 5.0487 5.8772 6.6203 103.42 97.75 106.87
Fractional positions:
Li  0.0000  0.0000  0.0000
Li  0.0019  0.4938  0.9964
Li  0.1979  0.3987  0.3932
Li  0.4011  0.7941  0.7986
Li  0.6126  0.1974  0.1878
Li  0.8059  0.5972  0.6037
Mn  0.2015  0.8960  0.3943
Mn  0.4080  0.2980  0.8027
Co  0.6003  0.6909  0.1890
Co  0.8097  0.1073  0.6064
O  0.1036  0.4176  0.6959
O  0.1178  0.9595  0.6859
O  0.3170  0.8467  0.1281
O  0.3196  0.3454  0.0764
O  0.4877  0.2336  0.5121
O  0.4972  0.7690  0.4889
O  0.6752  0.6246  0.8931
O  0.6837  0.1518  0.8826
O  0.9078  0.5812  0.3055
O  0.9198  0.0340  0.3030

Main lines, low angle first (2θ = 5–70°):
2θ (°)  d [Å]  intensity
14.09  6.286  8
18.37  4.831  100
35.79  2.509  13
36.17  2.483  25
43.27  2.091  31
43.74  2.070  29
43.91  2.062  29
47.77  1.904  8
62.95  1.477  8
63.13  1.473  8
63.49  1.465  8
63.57  1.464  8